Entry 1:
Calculated X-ray powder pattern
Compound: Re5Ir
Radiation: Cu Kα
Structure: a DFT-relaxed cell (GGA-PBE, Alexandria)
No peak broadening, texture or thermal motion is included.

Largest 8 diffraction maxima, by intensity, 15 to 90 degrees two-theta:
Position (°2θ), intensity
42.72, 100.0
40.75, 25.4
37.32, 24.2
81.76, 20.8
75.54, 19.0
67.31, 17.6
83.09, 15.1
56.44, 14.9

Structure:
```
Re5Ir
1.0
4.819 0.000 0.000
-2.409 4.173 0.000
0.000 0.000 4.428
Re Ir
5 1
direct
0.000 0.666 0.000 Re
0.333 0.667 0.500 Re
0.334 0.334 0.000 Re
0.666 0.000 0.000 Re
0.667 0.333 0.500 Re
0.000 0.000 0.500 Ir
```

=====

Entry 2:
Calculated X-ray powder pattern
Compound: ReIr2Rh
Radiation: Cu Kα
Structure: a DFT-relaxed cell (GGA-PBE, Alexandria)
No peak broadening, texture or thermal motion is included.

Largest 8 diffraction maxima, by intensity, 15 to 90 degrees two-theta:
Position (°2θ), intensity
40.31, 100.0
40.43, 99.2
47.02, 64.7
68.55, 52.8
46.85, 32.7
82.55, 25.7
82.69, 25.6
82.91, 25.5

Structure:
```
ReIr2Rh
1.0
2.739 -3.879 0.000
2.739 3.879 0.000
0.000 0.000 2.728
Re Ir Rh
1 2 1
direct
0.000 0.000 0.000 Re
0.000 0.500 0.500 Ir
0.500 0.000 0.500 Ir
0.500 0.500 0.000 Rh
```

=====

Entry 3:
Calculated X-ray powder pattern
Compound: ReIr2Rh
Radiation: Cu Kα
Structure: a DFT-relaxed cell (GGA-PBE, Alexandria)
No peak broadening, texture or thermal motion is included.

Largest 8 diffraction maxima, by intensity, 15 to 90 degrees two-theta:
Position (°2θ), intensity
40.32, 100.0
46.90, 48.8
82.58, 38.3
68.49, 31.6
87.14, 11.4
48.43, 2.8
22.96, 1.8
34.73, 1.7

Structure:
```
ReIr2Rh
1.0
2.740 0.000 0.000
0.000 2.740 0.000
0.000 0.000 7.747
Re Ir Rh
1 2 1
direct
0.000 0.000 0.000 Re
0.500 0.500 0.245 Ir
0.500 0.500 0.755 Ir
0.000 0.000 0.500 Rh
```

=====

Entry 4:
Calculated X-ray powder pattern
Compound: Re2Ir3Rh8
Radiation: Cu Kα
Structure: a DFT-relaxed cell (GGA-PBE, Alexandria)
No peak broadening, texture or thermal motion is included.

Largest 8 diffraction maxima, by intensity, 15 to 90 degrees two-theta:
Position (°2θ), intensity
42.63, 100.0
40.72, 38.9
28.16, 28.5
50.22, 25.9
42.34, 22.8
75.43, 18.5
24.35, 13.9
66.54, 12.2

Structure:
```
Re2Ir3Rh8
1.0
3.635 -6.464 0.000
3.635 6.464 0.000
0.000 0.000 4.431
Re Ir Rh
2 3 8
direct
0.219 0.781 0.000 Re
0.781 0.219 0.000 Re
0.000 0.000 0.000 Ir
0.259 0.259 0.500 Ir
0.741 0.741 0.500 Ir
0.137 0.863 0.500 Rh
0.185 0.420 0.000 Rh
0.350 0.650 0.500 Rh
0.420 0.185 0.000 Rh
0.580 0.815 0.000 Rh
0.650 0.350 0.500 Rh
0.815 0.580 0.000 Rh
0.863 0.137 0.500 Rh
```